[1]
Simulated X-ray powder pattern of ZrTe5 for Cu Ka, from a DFT-relaxed cell (GGA-PBE, the Materials Project).
Peak positions follow from Bragg's law for the DFT cell and can differ from measured ones.

Largest 12 diffraction maxima, in order of rising 2θ, 2θ from 10° to 90°:
| d_spacing | I_rel |
| --- | --- |
| 7.930 | 100 |
| 6.900 | 47 |
| 3.812 | 57 |
| 3.133 | 78 |
| 2.990 | 35 |
| 2.917 | 74 |
| 2.639 | 33 |
| 2.613 | 31 |
| 2.596 | 40 |
| 2.350 | 57 |
| 2.262 | 33 |
| 2.026 | 32 |

Structural model:
```
ZrTe5
1.0
2.026 -7.930 0.000
2.026 7.930 0.000
0.000 0.000 13.840
Zr Te
2 10
Cartesian
2.026 4.972 10.380
2.026 -4.972 3.460
2.026 5.195 3.460
2.026 3.391 7.832
2.026 3.391 12.927
2.026 1.276 2.072
2.026 1.276 4.848
2.026 -1.276 8.992
2.026 -1.276 11.768
2.026 -3.391 0.912
2.026 -3.391 6.008
2.026 -5.195 10.380
```

[2]
Simulated X-ray powder pattern of Cs4PbCl6 for Cu Ka, from a DFT-relaxed cell (GGA-PBE, the Materials Project).
Peak positions follow from Bragg's law for the DFT cell and can differ from measured ones.

Largest 12 diffraction maxima, in order of rising 2θ, 2θ from 10° to 90°:
| d_spacing | I_rel |
| --- | --- |
| 6.834 | 27 |
| 6.750 | 30 |
| 4.317 | 49 |
| 3.897 | 100 |
| 3.417 | 42 |
| 3.184 | 25 |
| 3.049 | 58 |
| 2.893 | 52 |
| 2.262 | 42 |
| 2.250 | 20 |
| 1.949 | 18 |
| 1.553 | 24 |

Structural model:
```
Cs4PbCl6
1.0
6.750 3.897 5.615
-6.750 3.897 5.615
0.000 -7.795 5.615
Cs Pb Cl
8 2 12
Cartesian
-4.239 0.452 7.019
0.000 0.000 4.211
-2.511 -3.446 9.826
1.729 -3.897 7.019
-1.729 3.897 9.826
2.511 3.446 7.019
0.000 0.000 12.634
4.240 -0.452 9.826
0.000 0.000 0.000
0.000 0.000 8.423
-5.851 -1.697 9.525
-1.456 -5.916 7.321
-1.456 -1.879 6.717
-4.395 4.219 7.321
-0.899 2.200 6.717
-2.355 0.322 10.128
2.355 -0.322 6.717
0.899 -2.200 10.128
4.395 -4.219 9.525
1.456 1.879 10.128
1.456 5.916 9.525
5.851 1.697 7.321
```

[3]
Simulated X-ray powder pattern of CaSn2O4 for Cu Ka, from a DFT-relaxed cell (GGA-PBE, the Materials Project).
Peak positions follow from Bragg's law for the DFT cell and can differ from measured ones.

Largest 12 diffraction maxima, in order of rising 2θ, 2θ from 10° to 90°:
| d_spacing | I_rel |
| --- | --- |
| 5.698 | 36 |
| 5.638 | 65 |
| 5.486 | 60 |
| 2.953 | 46 |
| 2.931 | 47 |
| 2.915 | 51 |
| 2.851 | 100 |
| 2.845 | 44 |
| 2.744 | 54 |
| 2.384 | 68 |
| 1.724 | 46 |
| 1.711 | 46 |

Structural model:
```
CaSn2O4
1.0
6.071 -3.295 0.000
6.071 3.295 0.000
-0.166 0.000 16.914
Ca Sn O
6 12 24
Cartesian
0.000 0.000 0.000
-0.063 0.000 6.553
3.743 0.000 1.581
3.791 0.000 5.748
7.803 0.000 11.576
11.797 0.000 12.764
1.841 0.000 9.386
4.940 1.590 9.345
3.670 0.000 12.151
6.843 1.665 3.655
8.857 1.657 14.910
5.961 0.000 14.894
4.940 -1.590 9.345
7.958 0.000 1.008
8.064 0.000 7.343
6.843 -1.665 3.655
10.004 0.000 3.782
8.857 -1.657 14.910
-0.062 0.000 10.481
2.651 1.346 10.832
4.203 1.654 13.403
1.599 0.000 4.801
5.162 1.712 4.916
2.001 0.000 13.623
3.258 0.000 7.889
3.389 0.000 16.162
6.916 1.757 8.235
7.022 1.655 15.902
2.651 -1.346 10.832
8.507 1.668 2.382
5.607 0.000 11.536
6.042 0.000 2.350
4.203 -1.654 13.403
7.658 0.000 4.629
7.897 0.000 13.874
5.162 -1.712 4.916
9.839 0.000 15.910
7.022 -1.655 15.902
6.916 -1.757 8.235
10.198 0.000 8.057
8.507 -1.668 2.382
12.090 0.000 2.457
```

[4]
Simulated X-ray powder pattern of Mn for Cu Ka, from a DFT-relaxed cell (GGA-PBE, the Materials Project).
Peak positions follow from Bragg's law for the DFT cell and can differ from measured ones.

Largest 3 diffraction maxima, in order of rising 2θ, 2θ from 10° to 90°:
| d_spacing | I_rel |
| --- | --- |
| 2.026 | 100 |
| 1.755 | 46 |
| 1.241 | 26 |

Structural model:
```
Mn
1.0
0.000 1.755 1.755
1.755 0.000 1.755
1.755 1.755 0.000
Mn
1
Cartesian
0.000 0.000 0.000
```

[5]
Simulated X-ray powder pattern of CsRbP for Cu Ka, from a DFT-relaxed cell (GGA-PBE, the Materials Project).
Peak positions follow from Bragg's law for the DFT cell and can differ from measured ones.

Largest 12 diffraction maxima, in order of rising 2θ, 2θ from 10° to 90°:
| d_spacing | I_rel |
| --- | --- |
| 4.809 | 11 |
| 4.164 | 67 |
| 2.945 | 100 |
| 2.404 | 21 |
| 2.082 | 18 |
| 1.862 | 29 |
| 1.700 | 38 |
| 1.472 | 12 |
| 1.388 | 14 |
| 1.317 | 16 |
| 1.256 | 8 |
| 1.113 | 20 |

Structural model:
```
CsRbP
1.0
0.000 4.164 4.164
4.164 0.000 4.164
4.164 4.164 0.000
Cs Rb P
1 1 1
Cartesian
0.000 0.000 0.000
4.164 4.164 4.164
6.247 6.247 6.247
```

[6]
Simulated X-ray powder pattern of Mg14ZnSb for Cu Ka, from a DFT-relaxed cell (GGA-PBE, the Materials Project).
Peak positions follow from Bragg's law for the DFT cell and can differ from measured ones.

Largest 12 diffraction maxima, in order of rising 2θ, 2θ from 10° to 90°:
| d_spacing | I_rel |
| --- | --- |
| 5.418 | 16 |
| 5.143 | 14 |
| 4.794 | 24 |
| 2.778 | 28 |
| 2.572 | 38 |
| 2.444 | 100 |
| 2.397 | 47 |
| 1.887 | 18 |
| 1.577 | 16 |
| 1.459 | 19 |
| 1.344 | 19 |
| 1.341 | 14 |

Structural model:
```
Mg14ZnSb
1.0
10.287 0.000 0.000
0.000 3.236 5.418
0.000 -3.236 5.418
Mg Zn Sb
14 1 1
Cartesian
0.000 0.000 0.000
0.000 -1.616 2.718
0.000 1.616 2.718
0.000 0.000 5.416
2.553 0.000 1.824
2.595 -1.591 4.531
2.595 1.591 4.531
2.588 0.000 7.219
5.143 -1.615 8.123
5.143 1.615 8.123
7.691 -1.591 4.531
7.691 1.591 4.531
7.699 0.000 7.219
7.734 0.000 1.824
5.143 0.000 5.443
5.143 0.000 0.008
```

[7]
Simulated X-ray powder pattern of Nd3Ge2Ru2 for Cu Ka, from a DFT-relaxed cell (GGA-PBE, the Materials Project).
Peak positions follow from Bragg's law for the DFT cell and can differ from measured ones.

Largest 12 diffraction maxima, in order of rising 2θ, 2θ from 10° to 90°:
| d_spacing | I_rel |
| --- | --- |
| 3.011 | 28 |
| 2.773 | 46 |
| 2.702 | 53 |
| 2.667 | 46 |
| 2.652 | 24 |
| 2.608 | 53 |
| 2.411 | 69 |
| 2.375 | 25 |
| 2.330 | 100 |
| 2.300 | 39 |
| 1.664 | 23 |
| 1.616 | 24 |

Structural model:
```
Nd3Ge2Ru2
1.0
5.745 0.000 0.000
0.000 7.967 0.000
0.000 0.000 13.801
Nd Ge Ru
12 8 8
Cartesian
0.743 1.919 3.450
0.743 2.065 10.351
2.012 4.765 1.363
2.012 4.765 5.538
2.012 7.186 8.263
2.012 7.186 12.438
3.733 0.781 1.363
3.733 0.781 5.538
3.733 3.202 8.263
3.733 3.202 12.438
5.002 5.902 3.450
5.002 6.049 10.351
0.665 1.992 0.000
0.665 1.992 6.901
2.075 4.849 10.351
2.075 7.102 3.450
3.670 0.865 10.351
3.670 3.118 3.450
5.080 5.975 0.000
5.080 5.975 6.901
0.820 4.224 8.152
0.820 4.224 12.549
0.820 7.727 1.252
0.820 7.727 5.649
4.925 0.240 8.152
4.925 0.240 12.549
4.925 3.743 1.252
4.925 3.743 5.649
```

[8]
Simulated X-ray powder pattern of BaP2O6 for Cu Ka, from a DFT-relaxed cell (GGA-PBE, the Materials Project).
Peak positions follow from Bragg's law for the DFT cell and can differ from measured ones.

Largest 12 diffraction maxima, in order of rising 2θ, 2θ from 10° to 90°:
| d_spacing | I_rel |
| --- | --- |
| 5.805 | 39 |
| 4.912 | 31 |
| 4.019 | 37 |
| 3.661 | 65 |
| 3.462 | 34 |
| 3.355 | 100 |
| 3.293 | 64 |
| 3.248 | 59 |
| 3.106 | 40 |
| 2.924 | 35 |
| 2.838 | 40 |
| 2.628 | 35 |

Structural model:
```
BaP2O6
1.0
7.674 0.000 0.000
0.000 6.990 0.000
-6.855 0.000 9.823
Ba P O
4 8 24
Cartesian
-0.848 0.680 3.198
-4.275 2.815 8.109
5.094 4.175 1.714
1.666 6.310 6.625
-2.376 4.927 5.691
1.052 5.558 0.780
1.196 4.231 3.300
-2.232 6.254 8.211
3.050 0.736 1.612
-0.377 2.759 6.523
-0.233 1.432 9.044
3.194 2.063 4.132
-3.792 4.766 6.181
-0.364 5.719 1.269
-5.553 5.063 9.213
-2.126 5.422 4.302
-3.370 0.219 8.021
0.058 3.276 3.110
1.746 0.013 1.005
-1.682 3.482 5.916
1.849 4.597 1.821
-1.578 5.889 6.732
-2.430 4.967 8.964
0.998 5.518 4.053
-0.179 1.472 5.770
3.249 2.023 0.859
2.397 1.102 3.091
-1.031 2.393 8.003
2.501 3.508 3.907
-0.927 6.977 8.818
0.760 3.714 6.714
4.188 6.771 1.802
2.944 1.568 5.522
6.372 1.927 0.610
1.183 1.271 8.554
4.611 2.224 3.643
```

[9]
Simulated X-ray powder pattern of Ce4Mn3Sb8 for Cu Ka, from a DFT-relaxed cell (GGA-PBE, the Materials Project).
Peak positions follow from Bragg's law for the DFT cell and can differ from measured ones.

Largest 12 diffraction maxima, in order of rising 2θ, 2θ from 10° to 90°:
| d_spacing | I_rel |
| --- | --- |
| 3.378 | 13 |
| 3.314 | 22 |
| 2.962 | 23 |
| 2.675 | 22 |
| 2.643 | 100 |
| 2.190 | 48 |
| 1.840 | 18 |
| 1.838 | 10 |
| 1.695 | 11 |
| 1.549 | 17 |
| 1.409 | 15 |
| 1.336 | 25 |

Structural model:
```
Ce4Mn3Sb8
1.0
4.380 0.000 0.000
0.000 4.380 0.000
0.000 0.000 20.269
Ce Mn Sb
4 3 8
Cartesian
0.000 2.190 2.528
0.000 2.190 12.763
2.190 0.000 7.506
2.190 0.000 17.741
0.000 0.000 10.135
2.190 2.190 0.000
2.190 2.190 10.135
0.000 0.000 5.025
0.000 0.000 15.245
0.000 2.190 8.464
0.000 2.190 18.765
2.190 0.000 1.504
2.190 0.000 11.805
2.190 2.190 5.014
2.190 2.190 15.255
```